Record 1
For KRbMnV2O7, a cell relaxed with PBE+U gives the computed powder diffraction line list in this record (Cu Kα).
Peak positions follow from Bragg's law for the DFT cell and can differ from measured ones.

Principal peaks in the range 2θ = 10–90°, by angle:
2θ (°), I_rel
16.25, 9
20.87, 11
24.87, 17
25.45, 17
27.47, 100
32.54, 23
38.32, 9
45.08, 22
48.66, 9
59.31, 13

Structural model:
```
KRbMnV2O7
1.0
8.701 0.000 0.000
0.000 8.701 0.000
0.000 0.000 11.785
K Rb Mn V O
4 4 4 8 28
direct
0.181 0.181 0.000 K
0.319 0.681 0.500 K
0.681 0.319 0.500 K
0.819 0.819 0.000 K
0.147 0.147 0.500 Rb
0.353 0.647 0.000 Rb
0.647 0.353 0.000 Rb
0.853 0.853 0.500 Rb
0.000 0.500 0.250 Mn
0.000 0.500 0.750 Mn
0.500 0.000 0.250 Mn
0.500 0.000 0.750 Mn
0.140 0.860 0.212 V
0.140 0.860 0.788 V
0.360 0.360 0.288 V
0.360 0.360 0.712 V
0.640 0.640 0.288 V
0.640 0.640 0.712 V
0.860 0.140 0.212 V
0.860 0.140 0.788 V
0.000 0.000 0.157 O
0.000 0.000 0.843 O
0.087 0.681 0.157 O
0.087 0.681 0.843 O
0.142 0.858 0.354 O
0.142 0.858 0.646 O
0.181 0.413 0.343 O
0.181 0.413 0.657 O
0.319 0.913 0.157 O
0.319 0.913 0.843 O
0.358 0.358 0.146 O
0.358 0.358 0.854 O
0.413 0.181 0.343 O
0.413 0.181 0.657 O
0.500 0.500 0.343 O
0.500 0.500 0.657 O
0.587 0.819 0.343 O
0.587 0.819 0.657 O
0.642 0.642 0.146 O
0.642 0.642 0.854 O
0.681 0.087 0.157 O
0.681 0.087 0.843 O
0.819 0.587 0.343 O
0.819 0.587 0.657 O
0.858 0.142 0.354 O
0.858 0.142 0.646 O
0.913 0.319 0.157 O
0.913 0.319 0.843 O
```

***

Record 2
For K2MnS2O12, a cell relaxed with PBE+U gives the computed powder diffraction line list in this record (Cu Kα).
Peak positions follow from Bragg's law for the DFT cell and can differ from measured ones.

Principal peaks in the range 2θ = 10–90°, by angle:
2θ (°), I_rel
14.18, 37
14.99, 21
17.30, 40
17.69, 32
24.85, 100
25.81, 54
27.20, 55
35.02, 17
36.76, 15
39.26, 15

Structural model:
```
K2MnS2O12
1.0
5.731 -5.125 0.000
5.731 5.125 0.000
-0.868 0.000 10.026
K Mn S O
4 2 4 24
direct
0.087 0.596 0.759 K
0.404 0.913 0.241 K
0.596 0.087 0.759 K
0.913 0.404 0.241 K
0.000 0.000 0.500 Mn
0.500 0.500 0.000 Mn
0.202 0.202 0.957 S
0.283 0.283 0.476 S
0.717 0.717 0.524 S
0.798 0.798 0.043 S
0.041 0.281 0.889 O
0.118 0.826 0.396 O
0.152 0.152 0.420 O
0.174 0.882 0.604 O
0.187 0.187 0.100 O
0.215 0.452 0.422 O
0.281 0.041 0.889 O
0.293 0.293 0.623 O
0.318 0.682 0.000 O
0.339 0.339 0.944 O
0.452 0.215 0.422 O
0.483 0.483 0.184 O
0.517 0.517 0.816 O
0.548 0.785 0.578 O
0.661 0.661 0.056 O
0.682 0.318 0.000 O
0.707 0.707 0.377 O
0.719 0.959 0.111 O
0.785 0.548 0.578 O
0.813 0.813 0.900 O
0.826 0.118 0.396 O
0.848 0.848 0.580 O
0.882 0.174 0.604 O
0.959 0.719 0.111 O
```

***

Record 3
For K2MnS2O12, a cell relaxed with PBE+U gives the computed powder diffraction line list in this record (Cu Kα).
Peak positions follow from Bragg's law for the DFT cell and can differ from measured ones.

Principal peaks in the range 2θ = 10–90°, by angle:
2θ (°), I_rel
14.71, 58
17.15, 52
20.16, 29
20.99, 50
22.17, 33
25.03, 68
25.55, 54
26.03, 100
26.90, 41
40.07, 28

Structural model:
```
K2MnS2O12
1.0
5.977 -4.561 0.000
5.977 4.561 0.000
-0.614 0.000 11.373
K Mn S O
4 2 4 24
direct
0.114 0.114 0.176 K
0.321 0.321 0.549 K
0.679 0.679 0.451 K
0.886 0.886 0.824 K
0.000 0.000 0.500 Mn
0.500 0.500 0.000 Mn
0.089 0.583 0.240 S
0.417 0.911 0.760 S
0.583 0.089 0.240 S
0.911 0.417 0.760 S
0.020 0.769 0.540 O
0.095 0.775 0.224 O
0.105 0.427 0.750 O
0.173 0.461 0.138 O
0.197 0.510 0.348 O
0.225 0.905 0.776 O
0.231 0.980 0.460 O
0.251 0.660 0.962 O
0.340 0.749 0.038 O
0.427 0.105 0.750 O
0.461 0.173 0.138 O
0.490 0.803 0.652 O
0.510 0.197 0.348 O
0.539 0.827 0.862 O
0.573 0.895 0.250 O
0.660 0.251 0.962 O
0.749 0.340 0.038 O
0.769 0.020 0.540 O
0.775 0.095 0.224 O
0.803 0.490 0.652 O
0.827 0.539 0.862 O
0.895 0.573 0.250 O
0.905 0.225 0.776 O
0.980 0.231 0.460 O
```

***

Record 4
For K2MnS2O12, a cell relaxed with PBE+U gives the computed powder diffraction line list in this record (Cu Kα).
Peak positions follow from Bragg's law for the DFT cell and can differ from measured ones.

Principal peaks in the range 2θ = 10–90°, by angle:
2θ (°), I_rel
14.36, 33
16.01, 47
21.68, 40
24.74, 60
25.31, 37
25.44, 100
25.68, 31
26.05, 47
26.34, 42
28.16, 35

Structural model:
```
K2MnS2O12
1.0
6.203 -4.451 0.000
6.203 4.451 0.000
-0.473 0.000 11.341
K Mn S O
4 2 4 24
direct
0.135 0.135 0.397 K
0.329 0.329 0.948 K
0.671 0.671 0.052 K
0.865 0.865 0.603 K
0.000 0.000 0.000 Mn
0.500 0.500 0.500 Mn
0.082 0.590 0.256 S
0.410 0.918 0.744 S
0.590 0.082 0.256 S
0.918 0.410 0.744 S
0.054 0.770 0.961 O
0.085 0.782 0.274 O
0.112 0.411 0.748 O
0.174 0.508 0.145 O
0.180 0.472 0.356 O
0.218 0.915 0.726 O
0.230 0.946 0.039 O
0.287 0.581 0.565 O
0.411 0.112 0.748 O
0.419 0.713 0.435 O
0.472 0.180 0.356 O
0.492 0.826 0.855 O
0.508 0.174 0.145 O
0.528 0.820 0.644 O
0.581 0.287 0.565 O
0.589 0.888 0.252 O
0.713 0.419 0.435 O
0.770 0.054 0.961 O
0.782 0.085 0.274 O
0.820 0.528 0.644 O
0.826 0.492 0.855 O
0.888 0.589 0.252 O
0.915 0.218 0.726 O
0.946 0.230 0.039 O
```

***

Record 5
For KMn5Se6O18, a cell relaxed with PBE+U gives the computed powder diffraction line list in this record (Cu Kα).
Peak positions follow from Bragg's law for the DFT cell and can differ from measured ones.

Principal peaks in the range 2θ = 10–90°, by angle:
2θ (°), I_rel
16.99, 36
26.56, 41
27.06, 83
27.49, 81
27.67, 74
27.85, 66
29.66, 100
32.10, 73
32.43, 54
32.75, 53

Structural model:
```
KMn5Se6O18
1.0
9.038 -5.218 0.000
9.038 5.218 0.000
-0.240 0.000 9.761
K Mn Se O
2 10 12 36
direct
0.000 0.000 0.250 K
0.000 0.000 0.750 K
0.001 0.624 0.251 Mn
0.331 0.332 0.833 Mn
0.332 0.331 0.333 Mn
0.376 0.999 0.249 Mn
0.387 0.613 0.750 Mn
0.613 0.387 0.250 Mn
0.624 0.001 0.751 Mn
0.668 0.669 0.667 Mn
0.669 0.668 0.167 Mn
0.999 0.376 0.749 Mn
0.081 0.305 0.083 Se
0.089 0.613 0.589 Se
0.305 0.081 0.583 Se
0.312 0.614 0.084 Se
0.386 0.688 0.416 Se
0.387 0.911 0.911 Se
0.613 0.089 0.089 Se
0.614 0.312 0.584 Se
0.688 0.386 0.916 Se
0.695 0.919 0.417 Se
0.911 0.387 0.411 Se
0.919 0.695 0.917 Se
0.124 0.172 0.636 O
0.135 0.696 0.142 O
0.147 0.459 0.689 O
0.151 0.393 0.189 O
0.158 0.304 0.925 O
0.162 0.536 0.430 O
0.172 0.124 0.136 O
0.192 0.694 0.651 O
0.304 0.158 0.425 O
0.304 0.865 0.358 O
0.306 0.808 0.849 O
0.312 0.532 0.928 O
0.393 0.151 0.689 O
0.405 0.453 0.189 O
0.453 0.405 0.689 O
0.459 0.147 0.189 O
0.464 0.838 0.070 O
0.468 0.688 0.572 O
0.532 0.312 0.428 O
0.536 0.162 0.930 O
0.541 0.853 0.811 O
0.547 0.595 0.311 O
0.595 0.547 0.811 O
0.607 0.849 0.311 O
0.688 0.468 0.072 O
0.694 0.192 0.151 O
0.696 0.135 0.642 O
0.696 0.842 0.575 O
0.808 0.306 0.349 O
0.828 0.876 0.864 O
0.838 0.464 0.570 O
0.842 0.696 0.075 O
0.849 0.607 0.811 O
0.853 0.541 0.311 O
0.865 0.304 0.858 O
0.876 0.828 0.364 O
```